Computed powder XRD pattern of SrCeP2Rh4 for Cu Kα (weighted mean of Kα1 and Kα2), from a structure optimized by DFT (PBE).
Peak positions follow from Bragg's law for the DFT cell and can differ from measured ones.

Largest 6 diffraction maxima, in order of falling intensity, 2θ from 15° to 90°:
two_theta  I_rel
36.4  100
44.7  44
28.7  42
42.1  32
76.9  22
18.3  17

Unit cell a=4.0525 b=4.0525 c=9.7117 alpha=90.00 beta=90.00 gamma=90.00
Sites, in units of the cell vectors:
Sr 0.0000 0.0000 0.0000
Ce 0.0000 0.0000 0.5000
P 0.5000 0.5000 0.1780
P 0.5000 0.5000 0.8220
Rh 0.0000 0.5000 0.2887
Rh 0.0000 0.5000 0.7113
Rh 0.5000 0.0000 0.2887
Rh 0.5000 0.0000 0.7113

Computed powder XRD pattern of CeTh2P2Rh7 for Cu Kα (weighted mean of Kα1 and Kα2), from a structure optimized by DFT (PBE).
Peak positions follow from Bragg's law for the DFT cell and can differ from measured ones.

Largest 6 diffraction maxima, in order of falling intensity, 2θ from 15° to 90°:
two_theta  I_rel
37.6  100
36.2  66
45.2  62
35.1  47
31.4  29
36.6  28

Unit cell a=4.0164 b=4.0164 c=13.5735 alpha=95.73 beta=95.73 gamma=89.53
Sites, in units of the cell vectors:
Ce 0.0000 0.0000 0.0000
Th 0.1084 0.1084 0.3509
Th 0.8916 0.8916 0.6491
P 0.4162 0.4162 0.7506
P 0.5838 0.5838 0.2494
Rh 0.0543 0.5537 0.1622
Rh 0.3741 0.3741 0.5783
Rh 0.4463 0.9457 0.8378
Rh 0.5000 0.5000 0.0000
Rh 0.5537 0.0543 0.1622
Rh 0.6259 0.6259 0.4217
Rh 0.9457 0.4463 0.8378

Computed powder XRD pattern of Ce2P4Ru3 for Cu Kα (weighted mean of Kα1 and Kα2), from a structure optimized by DFT (PBE).
Peak positions follow from Bragg's law for the DFT cell and can differ from measured ones.

Largest 6 diffraction maxima, in order of falling intensity, 2θ from 15° to 90°:
two_theta  I_rel
39.7  100
29.7  84
37.3  78
15.3  58
36.8  40
40.5  33

Unit cell a=7.5661 b=6.4076 c=5.6213 alpha=77.65 beta=55.82 gamma=46.53
Sites, in units of the cell vectors:
Ce 0.1402 0.1402 0.8598
Ce 0.8598 0.8598 0.1402
P 0.1824 0.5131 0.4869
P 0.4869 0.8176 0.1824
P 0.5131 0.1824 0.8176
P 0.8176 0.4869 0.5131
Ru 0.0000 0.0000 0.5000
Ru 0.5000 0.5000 0.0000
Ru 0.5000 0.5000 0.5000

Computed powder XRD pattern of Ce3P4Ru2 for Cu Kα (weighted mean of Kα1 and Kα2), from a structure optimized by DFT (PBE).
Peak positions follow from Bragg's law for the DFT cell and can differ from measured ones.

Largest 6 diffraction maxima, in order of falling intensity, 2θ from 15° to 90°:
two_theta  I_rel
34.2  100
30.6  53
31.5  44
31.9  43
44.3  39
40.0  36

Unit cell a=6.1855 b=6.1855 c=8.4052 alpha=117.00 beta=117.00 gamma=38.60
Sites, in units of the cell vectors:
Ce 0.0000 0.0000 0.0000
Ce 0.3725 0.3725 0.2751
Ce 0.6275 0.6275 0.7249
P 0.0949 0.0949 0.3928
P 0.3123 0.3123 0.9013
P 0.6877 0.6877 0.0987
P 0.9051 0.9051 0.6072
Ru 0.3172 0.3172 0.6295
Ru 0.6828 0.6828 0.3705

Computed powder XRD pattern of CeP4Ru4 for Cu Kα (weighted mean of Kα1 and Kα2), from a structure optimized by DFT (PBE).
Peak positions follow from Bragg's law for the DFT cell and can differ from measured ones.

Largest 6 diffraction maxima, in order of falling intensity, 2θ from 15° to 90°:
two_theta  I_rel
35.5  100
38.0  42
27.5  27
65.4  23
46.5  21
58.5  20

Unit cell a=5.9799 b=5.9799 c=7.7371 alpha=90.00 beta=90.00 gamma=90.00
Sites, in units of the cell vectors:
Ce 0.2500 0.7500 0.2500
Ce 0.7500 0.2500 0.7500
P 0.0407 0.2500 0.0712
P 0.2500 0.0407 0.5712
P 0.2500 0.4593 0.5712
P 0.4593 0.2500 0.0712
P 0.5407 0.7500 0.9288
P 0.7500 0.5407 0.4288
P 0.7500 0.9593 0.4288
P 0.9593 0.7500 0.9288
Ru 0.0220 0.2500 0.3735
Ru 0.2500 0.0220 0.8735
Ru 0.2500 0.4780 0.8735
Ru 0.4780 0.2500 0.3735
Ru 0.5220 0.7500 0.6265
Ru 0.7500 0.5220 0.1265
Ru 0.7500 0.9780 0.1265
Ru 0.9780 0.7500 0.6265

Computed powder XRD pattern of Ce2P3Ru5 for Cu Kα (weighted mean of Kα1 and Kα2), from a structure optimized by DFT (PBE).
Peak positions follow from Bragg's law for the DFT cell and can differ from measured ones.

Largest 6 diffraction maxima, in order of falling intensity, 2θ from 15° to 90°:
two_theta  I_rel
37.0  100
44.5  26
35.4  24
40.5  23
70.9  21
40.1  19

Unit cell a=12.1359 b=12.1359 c=6.5490 alpha=90.00 beta=90.00 gamma=160.70
Sites, in units of the cell vectors:
Ce 0.0175 0.9825 0.5000
Ce 0.3238 0.6762 0.4830
Ce 0.6762 0.3238 0.9830
Ce 0.9825 0.0175 0.0000
P 0.1108 0.8892 0.7572
P 0.2698 0.7302 0.9737
P 0.4459 0.5541 0.7156
P 0.5541 0.4459 0.2156
P 0.7302 0.2698 0.4737
P 0.8892 0.1108 0.2572
Ru 0.1013 0.8987 0.1555
Ru 0.2070 0.7930 0.6773
Ru 0.2087 0.7913 0.2699
Ru 0.3679 0.6321 0.9671
Ru 0.4387 0.5613 0.3491
Ru 0.5613 0.4387 0.8491
Ru 0.6321 0.3679 0.4671
Ru 0.7913 0.2087 0.7699
Ru 0.7930 0.2070 0.1773
Ru 0.8987 0.1013 0.6555